Entry 1:
Starting from DFT lattice parameters and positions (GGA-PBE), the PXRD pattern of CsIn6Sb2 was computed for a wavelength of 1.5418 Å.
Kinematic intensities with the Lorentz-polarization factor, no thermal factor.

Top 12 peaks for 2θ from 10° to 90°, sorted by position:
2θ 23.78, d = 3.742 Å, rel. 15, hkl 1 0 2
2θ 25.50, d = 3.493 Å, rel. 18, hkl 1 1 1
2θ 29.36, d = 3.042 Å, rel. 100, hkl 1 1 2
2θ 30.30, d = 2.950 Å, rel. 28, hkl 1 0 3
2θ 34.33, d = 2.613 Å, rel. 94, hkl 2 0 0
2θ 34.93, d = 2.569 Å, rel. 90, hkl 1 1 3
2θ 37.71, d = 2.385 Å, rel. 15, hkl 1 0 4
2θ 46.43, d = 1.956 Å, rel. 17, hkl 2 1 3
2θ 49.33, d = 1.847 Å, rel. 33, hkl 2 2 0
2θ 58.45, d = 1.579 Å, rel. 29, hkl 3 1 2
2θ 61.86, d = 1.500 Å, rel. 33, hkl 3 1 3
2θ 63.02, d = 1.475 Å, rel. 20, hkl 2 0 6

Structural model:
```
data_CsIn6Sb2
_cell_length_a 5.2250
_cell_length_b 5.2250
_cell_length_c 10.7233
_cell_angle_alpha 90.00
_cell_angle_beta 90.00
_cell_angle_gamma 90.00
_symmetry_space_group_name_H-M 'P 4/m m m'
_symmetry_Int_Tables_number 123
_symmetry_space_group_name_Hall '-P 4 2'
loop_
_atom_site_label
_atom_site_type_symbol
_atom_site_fract_x
_atom_site_fract_y
_atom_site_fract_z
Cs1 Cs 0.0000 0.0000 0.0000
In1 In 0.0000 0.0000 0.5000
In2 In 0.0000 0.5000 0.3130
In3 In 0.5000 0.5000 0.5000
Sb1 Sb 0.5000 0.5000 0.1444
```



Entry 2:
Starting from DFT lattice parameters and positions (GGA-PBE), the PXRD pattern of BaTl4As2 was computed for a wavelength of 1.5418 Å.
Kinematic intensities with the Lorentz-polarization factor, no thermal factor.

Top 12 peaks for 2θ from 10° to 90°, sorted by position:
2θ 26.87, d = 3.318 Å, rel. 22, hkl 0 6 0
2θ 30.12, d = 2.967 Å, rel. 100, hkl 1 3 1
2θ 35.22, d = 2.548 Å, rel. 13, hkl 1 5 1
2θ 38.18, d = 2.357 Å, rel. 16, hkl 2 0 0
2θ 38.59, d = 2.333 Å, rel. 16, hkl 0 0 2
2θ 47.30, d = 1.922 Å, rel. 10, hkl 2 6 0
2θ 47.65, d = 1.909 Å, rel. 10, hkl 0 6 2
2θ 49.54, d = 1.840 Å, rel. 15, hkl 1 9 1
2θ 55.40, d = 1.658 Å, rel. 15, hkl 2 0 2
2θ 62.62, d = 1.483 Å, rel. 9, hkl 2 6 2
2θ 64.08, d = 1.453 Å, rel. 12, hkl 3 3 1
2θ 64.64, d = 1.442 Å, rel. 12, hkl 1 3 3

Structural model:
```
data_BaTl4As2
_cell_length_a 4.7146
_cell_length_b 19.9067
_cell_length_c 4.6666
_cell_angle_alpha 90.00
_cell_angle_beta 90.00
_cell_angle_gamma 90.00
_symmetry_space_group_name_H-M 'C m m m'
_symmetry_Int_Tables_number 65
_symmetry_space_group_name_Hall '-C 2 2'
loop_
_atom_site_label
_atom_site_type_symbol
_atom_site_fract_x
_atom_site_fract_y
_atom_site_fract_z
Ba1 Ba 0.0000 0.0000 0.0000
Tl1 Tl 0.0000 0.1713 0.5000
Tl2 Tl 0.0000 0.3281 0.0000
As1 As 0.0000 0.4365 0.5000
```



Entry 3:
Starting from DFT lattice parameters and positions (GGA-PBE), the PXRD pattern of CeTh2ReC2 was computed for a wavelength of 1.5418 Å.
Kinematic intensities with the Lorentz-polarization factor, no thermal factor.

Top 12 peaks for 2θ from 10° to 90°, sorted by position:
2θ 16.88, d = 5.252 Å, rel. 10, hkl 1 1 0
2θ 30.14, d = 2.966 Å, rel. 29, hkl 2 0 0
2θ 31.67, d = 2.825 Å, rel. 17, hkl 0 4 0
2θ 32.43, d = 2.761 Å, rel. 100, hkl 1 2 1
2θ 33.77, d = 2.654 Å, rel. 10, hkl 0 3 1
2θ 42.83, d = 2.112 Å, rel. 10, hkl 1 5 0
2θ 44.28, d = 2.045 Å, rel. 14, hkl 2 4 0
2θ 48.68, d = 1.870 Å, rel. 10, hkl 0 0 2
2θ 54.99, d = 1.670 Å, rel. 18, hkl 3 2 1
2θ 56.87, d = 1.619 Å, rel. 11, hkl 1 6 1
2θ 58.33, d = 1.582 Å, rel. 10, hkl 2 0 2
2θ 67.91, d = 1.380 Å, rel. 9, hkl 2 4 2

Structural model:
```
data_CeTh2ReC2
_cell_length_a 5.9311
_cell_length_b 11.2995
_cell_length_c 3.7409
_cell_angle_alpha 90.00
_cell_angle_beta 90.00
_cell_angle_gamma 90.00
_symmetry_space_group_name_H-M 'P n n m'
_symmetry_Int_Tables_number 58
loop_
_symmetry_equiv_pos_as_xyz
'x,y,z'
'-x,-y,-z'
'-x,-y,z'
'x,y,-z'
'x+1/2,-y+1/2,-z+1/2'
'-x+1/2,y+1/2,z+1/2'
'-x+1/2,y+1/2,-z+1/2'
'x+1/2,-y+1/2,z+1/2'
loop_
_atom_site_label
_atom_site_type_symbol
_atom_site_fract_x
_atom_site_fract_y
_atom_site_fract_z
Ce1 Ce 0.0000 0.0000 0.0000
Th1 Th 0.0381 0.2879 0.5000
Re1 Re 0.0000 0.5000 0.0000
C1 C 0.2242 0.8924 0.5000
```



Entry 4:
Starting from DFT lattice parameters and positions (GGA-PBE), the PXRD pattern of Li3Pm2Pt2 was computed for a wavelength of 1.5418 Å.
Kinematic intensities with the Lorentz-polarization factor, no thermal factor.

Top 12 peaks for 2θ from 10° to 90°, sorted by position:
2θ 12.53, d = 7.064 Å, rel. 100, hkl 0 0 1
2θ 25.92, d = 3.438 Å, rel. 38, hkl 1 1 -1
2θ 27.28, d = 3.269 Å, rel. 29, hkl 1 1 1
2θ 33.56, d = 2.670 Å, rel. 13, hkl 1 1 -2
2θ 35.12, d = 2.555 Å, rel. 39, hkl 3 1 -1
2θ 35.34, d = 2.539 Å, rel. 24, hkl 4 0 0
2θ 35.71, d = 2.514 Å, rel. 33, hkl 1 1 2
2θ 38.21, d = 2.356 Å, rel. 45, hkl 0 0 3
2θ 39.57, d = 2.277 Å, rel. 15, hkl 4 0 1
2θ 40.31, d = 2.237 Å, rel. 36, hkl 3 1 -2
2θ 44.13, d = 2.052 Å, rel. 17, hkl 0 2 0
2θ 45.69, d = 1.986 Å, rel. 16, hkl 3 1 2

Structural model:
```
data_Li3Pm2Pt2
_cell_length_a 10.2914
_cell_length_b 4.1045
_cell_length_c 7.1568
_cell_angle_alpha 90.00
_cell_angle_beta 99.24
_cell_angle_gamma 90.00
_symmetry_space_group_name_H-M 'C 1 2/m 1'
_symmetry_Int_Tables_number 12
loop_
_symmetry_equiv_pos_as_xyz
'x,y,z'
'-x,-y,-z'
'-x,y,-z'
'x,-y,z'
'x+1/2,y+1/2,z'
'-x+1/2,-y+1/2,-z'
'-x+1/2,y+1/2,-z'
'x+1/2,-y+1/2,z'
loop_
_atom_site_label
_atom_site_type_symbol
_atom_site_fract_x
_atom_site_fract_y
_atom_site_fract_z
Li1 Li 0.0000 0.0000 0.0000
Li2 Li 0.1907 0.5000 0.8861
Pm1 Pm 0.1187 0.5000 0.3582
Pt1 Pt 0.1015 0.0000 0.6682
```



Entry 5:
Starting from DFT lattice parameters and positions (GGA-PBE), the PXRD pattern of Sm3Ag2Rh was computed for a wavelength of 1.5418 Å.
Kinematic intensities with the Lorentz-polarization factor, no thermal factor.

Top 12 peaks for 2θ from 10° to 90°, sorted by position:
2θ 24.49, d = 3.635 Å, rel. 6, hkl 1 0 1
2θ 34.78, d = 2.580 Å, rel. 100, hkl 0 1 2
2θ 35.03, d = 2.562 Å, rel. 100, hkl 1 1 0
2θ 45.52, d = 1.993 Å, rel. 2, hkl 1 1 2
2θ 50.19, d = 1.818 Å, rel. 35, hkl 2 0 2
2θ 62.19, d = 1.493 Å, rel. 17, hkl 1 0 4
2θ 62.67, d = 1.482 Å, rel. 35, hkl 1 2 2
2θ 62.83, d = 1.479 Å, rel. 18, hkl 3 0 0
2θ 73.41, d = 1.290 Å, rel. 11, hkl 0 2 4
2θ 74.00, d = 1.281 Å, rel. 11, hkl 2 2 0
2θ 84.01, d = 1.152 Å, rel. 15, hkl 2 1 4
2θ 84.44, d = 1.147 Å, rel. 15, hkl 3 1 2

Structural model:
```
data_Sm3Ag2Rh
_cell_length_a 5.1237
_cell_length_b 5.1237
_cell_length_c 6.3407
_cell_angle_alpha 90.00
_cell_angle_beta 90.00
_cell_angle_gamma 120.00
_symmetry_space_group_name_H-M 'P -3 m 1'
_symmetry_Int_Tables_number 164
_symmetry_space_group_name_Hall '-P 3 2"'
loop_
_atom_site_label
_atom_site_type_symbol
_atom_site_fract_x
_atom_site_fract_y
_atom_site_fract_z
Sm1 Sm 0.0000 0.0000 0.0000
Sm2 Sm 0.3333 0.6667 0.6461
Ag1 Ag 0.3333 0.6667 0.1466
Rh1 Rh 0.0000 0.0000 0.5000
```



Question: Which formula does entry 4 have?
Answer: Li3Pm2Pt2